Entry 1:
Diffraction record for FeRePb2O6. The X-ray diffraction stick pattern is calculated, not measured: it uses a GGA+U-relaxed structure and Cu Kα.
Peak positions follow from Bragg's law for the DFT cell and can differ from measured ones.

Cell: 5.686 5.686 5.686 Å, 119.93 119.93 90.12°
Fractional coordinates of all 10 atoms:
Fe (0.000, 0.000, 0.000)
Re (0.497, 0.497, 0.000)
Pb (0.262, 0.762, 0.500)
Pb (0.762, 0.262, 0.500)
O (0.247, 0.247, 0.511)
O (0.247, 0.736, 0.000)
O (0.251, 0.251, 0.000)
O (0.736, 0.247, 0.000)
O (0.736, 0.736, 0.489)
O (0.740, 0.740, 0.000)

The 10 most intense peaks (2θ from 15° to 90°), in order of rising 2θ:
- 19.11°, intensity 9.4
- 31.46°, intensity 100.0
- 38.78°, intensity 7.2
- 45.05°, intensity 18.2
- 45.15°, intensity 8.7
- 56.01°, intensity 40.4
- 65.66°, intensity 16.8
- 74.57°, intensity 12.0
- 74.73°, intensity 5.6
- 83.22°, intensity 5.8

***

Entry 2:
Diffraction record for Li9Mn2Co5O16. The X-ray diffraction stick pattern is calculated, not measured: it uses a GGA+U-relaxed structure and Cu Kα.
Peak positions follow from Bragg's law for the DFT cell and can differ from measured ones.

Cell: 5.119 5.119 20.790 Å, 98.19 98.19 32.92°
Fractional coordinates of all 32 atoms:
Li (0.000, 0.000, 0.000)
Li (0.240, 0.240, 0.179)
Li (0.244, 0.244, 0.436)
Li (0.248, 0.248, 0.694)
Li (0.261, 0.261, 0.944)
Li (0.739, 0.739, 0.056)
Li (0.752, 0.752, 0.306)
Li (0.756, 0.756, 0.564)
Li (0.760, 0.760, 0.821)
Mn (0.499, 0.499, 0.374)
Mn (0.501, 0.501, 0.626)
Co (0.000, 0.000, 0.244)
Co (0.000, 0.000, 0.500)
Co (0.000, 0.000, 0.756)
Co (0.484, 0.484, 0.112)
Co (0.516, 0.516, 0.888)
O (0.107, 0.107, 0.097)
O (0.109, 0.109, 0.346)
O (0.115, 0.115, 0.600)
O (0.116, 0.116, 0.842)
O (0.374, 0.374, 0.036)
O (0.385, 0.385, 0.778)
O (0.388, 0.388, 0.540)
O (0.390, 0.390, 0.286)
O (0.610, 0.610, 0.714)
O (0.612, 0.612, 0.460)
O (0.615, 0.615, 0.222)
O (0.626, 0.626, 0.964)
O (0.884, 0.884, 0.158)
O (0.885, 0.885, 0.400)
O (0.891, 0.891, 0.654)
O (0.893, 0.893, 0.903)

The 10 most intense peaks (2θ from 15° to 90°), in order of rising 2θ:
- 18.28°, intensity 100.0
- 34.91°, intensity 13.0
- 36.08°, intensity 26.2
- 37.05°, intensity 7.3
- 42.16°, intensity 26.6
- 43.82°, intensity 54.8
- 47.23°, intensity 8.1
- 57.73°, intensity 9.3
- 62.43°, intensity 27.4
- 64.22°, intensity 7.7

***

Entry 3:
Diffraction record for NaLi2FeF6. The X-ray diffraction stick pattern is calculated, not measured: it uses a GGA+U-relaxed structure and Cu Kα.
Peak positions follow from Bragg's law for the DFT cell and can differ from measured ones.

Cell: 5.804 5.804 5.804 Å, 60.00 60.00 60.00°
Fractional coordinates of all 10 atoms:
Na (0.000, 0.000, 0.000)
Li (0.250, 0.250, 0.250)
Li (0.750, 0.750, 0.750)
Fe (0.500, 0.500, 0.500)
F (0.263, 0.263, 0.737)
F (0.263, 0.737, 0.263)
F (0.263, 0.737, 0.737)
F (0.737, 0.263, 0.263)
F (0.737, 0.263, 0.737)
F (0.737, 0.737, 0.263)

The 10 most intense peaks (2θ from 15° to 90°), in order of rising 2θ:
- 18.72°, intensity 29.5
- 21.65°, intensity 100.0
- 30.81°, intensity 18.2
- 36.30°, intensity 7.6
- 44.13°, intensity 45.4
- 49.67°, intensity 34.6
- 54.79°, intensity 7.1
- 64.19°, intensity 23.5
- 68.60°, intensity 13.7
- 81.19°, intensity 6.7

***

Entry 4:
Diffraction record for Mn3Ni2Te3O16. The X-ray diffraction stick pattern is calculated, not measured: it uses a GGA+U-relaxed structure and Cu Kα.
Peak positions follow from Bragg's law for the DFT cell and can differ from measured ones.

Cell: 6.136 6.136 9.140 Å, 91.06 91.06 59.06°
Fractional coordinates of all 24 atoms:
Mn (0.000, 0.000, 0.000)
Mn (0.168, 0.667, 0.505)
Mn (0.667, 0.168, 0.505)
Ni (0.158, 0.158, 0.706)
Ni (0.487, 0.487, 0.236)
Te (0.001, 0.498, 0.002)
Te (0.498, 0.001, 0.002)
Te (0.666, 0.666, 0.503)
O (0.151, 0.664, 0.105)
O (0.187, 0.187, 0.128)
O (0.314, 0.314, 0.877)
O (0.323, 0.873, 0.888)
O (0.353, 0.792, 0.380)
O (0.356, 0.356, 0.394)
O (0.509, 0.988, 0.612)
O (0.510, 0.510, 0.619)
O (0.664, 0.151, 0.105)
O (0.673, 0.673, 0.115)
O (0.792, 0.353, 0.380)
O (0.814, 0.814, 0.884)
O (0.824, 0.824, 0.394)
O (0.873, 0.323, 0.888)
O (0.988, 0.509, 0.612)
O (0.989, 0.989, 0.608)

The 10 most intense peaks (2θ from 15° to 90°), in order of rising 2θ:
- 19.08°, intensity 26.2
- 19.41°, intensity 100.0
- 19.55°, intensity 15.4
- 25.95°, intensity 16.7
- 34.11°, intensity 19.3
- 35.40°, intensity 19.3
- 35.59°, intensity 47.3
- 45.31°, intensity 19.1
- 45.81°, intensity 14.4
- 60.36°, intensity 18.7

***

Entry 5:
Diffraction record for MgMn4O8. The X-ray diffraction stick pattern is calculated, not measured: it uses a GGA+U-relaxed structure and Cu Kα.
Peak positions follow from Bragg's law for the DFT cell and can differ from measured ones.

Cell: 6.901 6.901 9.518 Å, 133.53 133.53 25.75°
Fractional coordinates of all 13 atoms:
Mg (0.000, 0.000, 0.000)
Mn (0.148, 0.148, 0.477)
Mn (0.330, 0.330, 0.182)
Mn (0.670, 0.670, 0.818)
Mn (0.852, 0.852, 0.523)
O (0.049, 0.049, 0.713)
O (0.320, 0.320, 0.961)
O (0.335, 0.335, 0.384)
O (0.358, 0.358, 0.678)
O (0.642, 0.642, 0.322)
O (0.665, 0.665, 0.616)
O (0.680, 0.680, 0.039)
O (0.951, 0.951, 0.287)

The 10 most intense peaks (2θ from 15° to 90°), in order of rising 2θ:
- 18.64°, intensity 54.3
- 29.68°, intensity 87.6
- 36.03°, intensity 100.0
- 37.80°, intensity 29.5
- 40.86°, intensity 38.8
- 49.36°, intensity 58.2
- 58.14°, intensity 24.5
- 60.18°, intensity 17.7
- 60.40°, intensity 42.4
- 70.33°, intensity 35.8

***

Entry 6:
Diffraction record for Li4Mn3Cr3Ni2O16. The X-ray diffraction stick pattern is calculated, not measured: it uses a GGA+U-relaxed structure and Cu Kα.
Peak positions follow from Bragg's law for the DFT cell and can differ from measured ones.

Cell: 5.813 5.813 9.617 Å, 90.25 90.25 59.96°
Fractional coordinates of all 28 atoms:
Li (0.000, 0.000, 0.000)
Li (0.000, 0.000, 0.499)
Li (0.331, 0.331, 0.607)
Li (0.664, 0.664, 0.106)
Mn (0.170, 0.170, 0.281)
Mn (0.339, 0.831, 0.782)
Mn (0.831, 0.339, 0.782)
Cr (0.169, 0.664, 0.284)
Cr (0.664, 0.169, 0.284)
Cr (0.833, 0.833, 0.786)
Ni (0.332, 0.332, 0.007)
Ni (0.666, 0.666, 0.510)
O (0.003, 0.003, 0.184)
O (0.003, 0.003, 0.684)
O (0.035, 0.482, 0.168)
O (0.155, 0.681, 0.889)
O (0.157, 0.157, 0.892)
O (0.318, 0.836, 0.389)
O (0.329, 0.329, 0.393)
O (0.479, 0.479, 0.168)
O (0.482, 0.035, 0.168)
O (0.516, 0.516, 0.668)
O (0.518, 0.963, 0.670)
O (0.662, 0.662, 0.892)
O (0.681, 0.155, 0.889)
O (0.836, 0.318, 0.389)
O (0.839, 0.839, 0.387)
O (0.963, 0.518, 0.670)

The 10 most intense peaks (2θ from 15° to 90°), in order of rising 2θ:
- 18.45°, intensity 62.5
- 19.91°, intensity 100.0
- 33.08°, intensity 19.6
- 36.08°, intensity 42.4
- 36.92°, intensity 46.3
- 45.76°, intensity 28.7
- 45.92°, intensity 26.1
- 60.48°, intensity 22.4
- 60.70°, intensity 23.3
- 64.09°, intensity 38.5

***

Entry 7:
Diffraction record for Li4MnFe3P4O16. The X-ray diffraction stick pattern is calculated, not measured: it uses a GGA+U-relaxed structure and Cu Kα.
Peak positions follow from Bragg's law for the DFT cell and can differ from measured ones.

Cell: 7.745 10.515 7.736 Å, 90.00 104.09 90.00°
Fractional coordinates of all 56 atoms:
Li (0.000, 0.249, 0.000)
Li (0.000, 0.751, 0.500)
Li (0.249, 0.249, 0.750)
Li (0.249, 0.751, 0.250)
Li (0.499, 0.250, 0.500)
Li (0.499, 0.750, 0.000)
Li (0.750, 0.250, 0.250)
Li (0.750, 0.750, 0.750)
Mn (0.864, 0.467, 0.615)
Mn (0.864, 0.533, 0.115)
Fe (0.138, 0.032, 0.388)
Fe (0.138, 0.968, 0.888)
Fe (0.363, 0.467, 0.113)
Fe (0.363, 0.533, 0.613)
Fe (0.637, 0.033, 0.887)
Fe (0.637, 0.967, 0.387)
P (0.085, 0.344, 0.334)
P (0.085, 0.656, 0.834)
P (0.416, 0.154, 0.166)
P (0.416, 0.846, 0.666)
P (0.581, 0.345, 0.833)
P (0.581, 0.655, 0.333)
P (0.916, 0.153, 0.667)
P (0.916, 0.847, 0.167)
O (0.023, 0.207, 0.272)
O (0.023, 0.793, 0.772)
O (0.084, 0.083, 0.632)
O (0.084, 0.917, 0.132)
O (0.121, 0.413, 0.165)
O (0.121, 0.587, 0.665)
O (0.245, 0.348, 0.496)
O (0.245, 0.652, 0.996)
O (0.255, 0.151, 0.005)
O (0.255, 0.849, 0.505)
O (0.382, 0.084, 0.335)
O (0.382, 0.916, 0.835)
O (0.413, 0.415, 0.869)
O (0.413, 0.585, 0.369)
O (0.478, 0.291, 0.228)
O (0.478, 0.709, 0.728)
O (0.520, 0.207, 0.772)
O (0.520, 0.793, 0.272)
O (0.585, 0.084, 0.132)
O (0.585, 0.916, 0.632)
O (0.612, 0.414, 0.664)
O (0.612, 0.586, 0.164)
O (0.743, 0.348, 0.993)
O (0.743, 0.652, 0.493)
O (0.755, 0.151, 0.505)
O (0.755, 0.849, 0.005)
O (0.881, 0.083, 0.835)
O (0.881, 0.917, 0.335)
O (0.915, 0.413, 0.365)
O (0.915, 0.587, 0.865)
O (0.978, 0.290, 0.729)
O (0.978, 0.710, 0.229)

The 10 most intense peaks (2θ from 15° to 90°), in order of rising 2θ:
- 16.86°, intensity 33.0
- 20.48°, intensity 61.6
- 25.20°, intensity 89.6
- 29.26°, intensity 76.8
- 31.70°, intensity 30.8
- 35.03°, intensity 100.0
- 35.99°, intensity 31.1
- 37.24°, intensity 21.7
- 51.71°, intensity 36.3
- 55.69°, intensity 23.7

***

Entry 8:
Diffraction record for V4O3F9. The X-ray diffraction stick pattern is calculated, not measured: it uses a GGA+U-relaxed structure and Cu Kα.
Peak positions follow from Bragg's law for the DFT cell and can differ from measured ones.

Cell: 5.256 5.396 17.351 Å, 83.31 81.84 61.01°
Fractional coordinates of all 32 atoms:
V (0.000, 0.000, 0.000)
V (0.098, 0.177, 0.621)
V (0.263, 0.282, 0.253)
V (0.366, 0.407, 0.879)
V (0.490, 0.565, 0.509)
V (0.614, 0.631, 0.131)
V (0.730, 0.813, 0.757)
V (0.853, 0.929, 0.373)
O (0.093, 0.732, 0.943)
O (0.385, 0.846, 0.563)
O (0.436, 0.447, 0.170)
O (0.636, 0.070, 0.301)
O (0.637, 0.082, 0.814)
O (0.871, 0.332, 0.550)
F (0.087, 0.126, 0.341)
F (0.116, 0.742, 0.461)
F (0.128, 0.575, 0.791)
F (0.145, 0.206, 0.919)
F (0.164, 0.600, 0.317)
F (0.333, 0.371, 0.591)
F (0.340, 0.973, 0.190)
F (0.356, 0.990, 0.710)
F (0.386, 0.823, 0.042)
F (0.586, 0.610, 0.839)
F (0.596, 0.226, 0.447)
F (0.605, 0.244, 0.967)
F (0.670, 0.690, 0.418)
F (0.831, 0.859, 0.091)
F (0.846, 0.474, 0.695)
F (0.867, 0.506, 0.215)
F (0.906, 0.948, 0.666)
F (0.908, 0.334, 0.065)

The 10 most intense peaks (2θ from 15° to 90°), in order of rising 2θ:
- 23.53°, intensity 99.3
- 23.68°, intensity 100.0
- 23.80°, intensity 99.5
- 33.15°, intensity 26.7
- 39.75°, intensity 25.7
- 48.14°, intensity 21.5
- 48.46°, intensity 20.8
- 48.71°, intensity 19.7
- 53.77°, intensity 22.2
- 53.91°, intensity 22.9

***

Entry 9:
Diffraction record for NbFeNiO4F2. The X-ray diffraction stick pattern is calculated, not measured: it uses a GGA+U-relaxed structure and Cu Kα.
Peak positions follow from Bragg's law for the DFT cell and can differ from measured ones.

Cell: 7.423 3.170 13.985 Å, 90.00 103.47 90.00°
Fractional coordinates of all 18 atoms:
Nb (0.000, 0.000, 0.000)
Nb (0.291, 0.000, 0.584)
Fe (0.136, 0.500, 0.790)
Fe (0.810, 0.500, 0.150)
Ni (0.483, 0.500, 0.442)
Ni (0.656, 0.000, 0.296)
O (0.013, 0.000, 0.134)
O (0.038, 0.500, 0.899)
O (0.237, 0.500, 0.684)
O (0.286, 0.000, 0.451)
O (0.464, 0.500, 0.589)
O (0.627, 0.000, 0.430)
O (0.666, 0.000, 0.155)
O (0.827, 0.500, 0.002)
F (0.024, 0.000, 0.551)
F (0.265, 0.000, 0.026)
F (0.473, 0.500, 0.291)
F (0.846, 0.500, 0.299)

The 10 most intense peaks (2θ from 15° to 90°), in order of rising 2θ:
- 15.18°, intensity 100.0
- 30.63°, intensity 8.5
- 31.13°, intensity 5.3
- 32.37°, intensity 23.4
- 34.52°, intensity 5.8
- 37.31°, intensity 17.5
- 38.80°, intensity 6.9
- 46.76°, intensity 4.4
- 47.44°, intensity 11.6
- 60.54°, intensity 7.1